# LaNb2CuBrO7
Theoretical powder diffractogram, Cu Kα (weighted mean of Kα1 and Kα2). Input: a crystal structure in the Materials Project, relaxed with GGA-PBE.

Most intense lines, 2θ = 5–70°, most intense first:
hkl 2 2 0, 2θ = 32.00°, d = 2.797 Å, intensity 100; hkl 0 2 2, 2θ = 27.14°, d = 3.286 Å, intensity 95; hkl 0 0 1, 2θ = 7.50°, d = 11.785 Å, intensity 53; hkl 2 2 4, 2θ = 44.66°, d = 2.029 Å, intensity 30; hkl 2 0 3, 2θ = 32.13°, d = 2.786 Å, intensity 30; hkl 0 4 0, 2θ = 45.75°, d = 1.983 Å, intensity 24

```
LaNb2CuBrO7
1.0
7.9020 0.0000 0.0000
0.0000 7.9324 0.0000
0.0000 0.0000 11.7849
La Nb Cu Br O
4 8 4 4 28
direct
0.0000 0.2366 0.0000 La
0.0000 0.7634 0.0000 La
0.5000 0.2634 0.0000 La
0.5000 0.7366 0.0000 La
0.2483 0.5002 0.1891 Nb
0.2483 0.5002 0.8109 Nb
0.2517 0.0002 0.1891 Nb
0.2517 0.0002 0.8109 Nb
0.7483 0.9998 0.1891 Nb
0.7483 0.9998 0.8109 Nb
0.7517 0.4998 0.1891 Nb
0.7517 0.4998 0.8109 Nb
0.2283 0.4948 0.5000 Cu
0.2717 0.9948 0.5000 Cu
0.7283 0.0052 0.5000 Cu
0.7717 0.5052 0.5000 Cu
0.0561 0.2295 0.5000 Br
0.4439 0.7295 0.5000 Br
0.5561 0.2705 0.5000 Br
0.9439 0.7705 0.5000 Br
0.0000 0.0000 0.1824 O
0.0000 0.0000 0.8176 O
0.0000 0.5000 0.1336 O
0.0000 0.5000 0.8664 O
0.1986 0.0000 0.0000 O
0.2206 0.4997 0.3414 O
0.2206 0.4997 0.6586 O
0.2502 0.2500 0.1514 O
0.2502 0.2500 0.8486 O
0.2498 0.7500 0.1514 O
0.2498 0.7500 0.8486 O
0.2794 0.9997 0.3414 O
0.2794 0.9997 0.6586 O
0.3014 0.5000 0.0000 O
0.5000 0.0000 0.1336 O
0.5000 0.0000 0.8664 O
0.5000 0.5000 0.1824 O
0.5000 0.5000 0.8176 O
0.6986 0.5000 0.0000 O
0.7206 0.0003 0.3414 O
0.7206 0.0003 0.6586 O
0.7502 0.2500 0.1514 O
0.7502 0.2500 0.8486 O
0.7498 0.7500 0.1514 O
0.7498 0.7500 0.8486 O
0.7794 0.5003 0.3414 O
0.7794 0.5003 0.6586 O
0.8014 0.0000 0.0000 O
```